Calculated X-ray powder pattern
Compound: LiVSiO5
Radiation: λ = 1.5418 Å (Cu Kα)
Structure: a structure optimized by DFT (PBE+U)

Structure:
a = 4.662 Å, b = 6.293 Å, c = 6.388 Å
α = 90.00°, β = 92.52°, γ = 90.00°
Space group P2_1/m (No. 11)
Unique sites:
Li  0.000  0.000  0.000 (multiplicity 2)
V  0.395  0.250  0.741 (multiplicity 2)
Si  0.498  0.750  0.759 (multiplicity 2)
O  0.256  0.750  0.225 (multiplicity 2)
O  0.264  0.250  0.044 (multiplicity 2)
O  0.291  0.539  0.768 (multiplicity 4)
O  0.326  0.250  0.459 (multiplicity 2)

Main lines, in order of rising 2θ (10 to 90 degrees two-theta):
hkl, 2theta, d_spacing, Rel. int.
1 0 0, 19.05, 4.658, 100.0
1 1 0, 23.77, 3.744, 23.7
1 0 1, 24.14, 3.686, 19.7
0 0 2, 27.96, 3.191, 47.5
0 2 0, 28.36, 3.147, 47.0
1 0 -2, 33.33, 2.688, 19.4
1 2 0, 34.39, 2.607, 34.7
1 0 2, 34.77, 2.580, 14.8
2 1 0, 41.34, 2.184, 12.2
1 2 -2, 44.33, 2.043, 14.7